Starting from a PBE-relaxed structure, the powder X-ray diffraction pattern of CaPuMnN3 was computed for copper Kα.

Peak list (10 most intense, 10° ≤ 2θ ≤ 80°, by angle)
| two_theta | I_rel |
| --- | --- |
| 11.84 | 22 |
| 16.28 | 100 |
| 28.69 | 29 |
| 29.60 | 19 |
| 32.10 | 27 |
| 32.91 | 22 |
| 35.58 | 28 |
| 36.06 | 19 |
| 36.82 | 54 |
| 37.76 | 14 |

Structure:
```
data_CaPuMnN3
_cell_length_a 7.0232
_cell_length_b 3.4220
_cell_length_c 7.5295
_cell_angle_alpha 90.00
_cell_angle_beta 97.11
_cell_angle_gamma 90.00
_space_group_name_H-M_alt 'P 1 21/m 1'
_space_group_IT_number 11
_space_group_name_Hall '-P 2yb'
loop_
_atom_site_label
_atom_site_type_symbol
_atom_site_fract_x
_atom_site_fract_y
_atom_site_fract_z
Ca1 Ca 0.1616 0.2500 0.1717
Pu1 Pu 0.3608 0.7500 0.8281
Mn1 Mn 0.0781 0.2500 0.5945
N1 N 0.1272 0.2500 0.8412
N2 N 0.1691 0.7500 0.5306
N3 N 0.4178 0.7500 0.1282
```

=====

Starting from a PBE-relaxed structure, the powder X-ray diffraction pattern of Ca4MnSn3N8 was computed for copper Kα.

Peak list (10 most intense, 10° ≤ 2θ ≤ 80°, by angle)
| two_theta | I_rel |
| --- | --- |
| 16.15 | 43 |
| 31.82 | 20 |
| 32.64 | 26 |
| 33.23 | 73 |
| 38.39 | 100 |
| 55.02 | 32 |
| 55.79 | 32 |
| 65.46 | 13 |
| 66.16 | 22 |
| 69.76 | 16 |

Structure:
```
data_Ca4MnSn3N8
_cell_length_a 6.5906
_cell_length_b 6.5906
_cell_length_c 16.4596
_cell_angle_alpha 90.00
_cell_angle_beta 90.00
_cell_angle_gamma 120.00
_space_group_name_H-M_alt 'R -3 m'
_space_group_IT_number 166
_space_group_name_Hall '-R 3 2"'
loop_
_atom_site_label
_atom_site_type_symbol
_atom_site_fract_x
_atom_site_fract_y
_atom_site_fract_z
Ca1 Ca 0.0000 0.0000 0.0000
Ca2 Ca 0.0000 0.5000 0.0000
Mn1 Mn 0.0000 0.0000 0.5000
Sn1 Sn 0.0000 0.5000 0.5000
N1 N 0.0000 0.0000 0.2395
N2 N 0.0131 0.5066 0.2377
```

=====

Number 1 is which compound?
CaPuMnN3